# Mg3ZnO4
Theoretical X-ray diffraction stick pattern, Cu Ka. Input: a structure optimized by DFT (GGA-PBE).
Lines closer than 0.1° are merged.

abc: 4.6159 4.6159 4.6159
angles: 90.00 90.00 90.00
Space group P-43m (No. 215)
One atom of each set of equivalent atoms:
Mg1 0.0000 0.0000 0.5000 (multiplicity 3)
Zn1 0.5000 0.5000 0.5000 (multiplicity 1)
O1 0.2474 0.2474 0.7526 (multiplicity 4)

Top 10 peaks for 2θ from 5° to 70°, by angle:
(1 0 0), 19.23 deg, intensity 22
(1 1 0), 27.32 deg, intensity 20
(1 1 1), 33.63 deg, intensity 100
(2 0 0), 39.03 deg, intensity 13
(2 1 0), 43.86 deg, intensity 12
(2 1 1), 48.30 deg, intensity 8
(2 2 0), 56.38 deg, intensity 51
(3 0 0), 60.14 deg, intensity 5
(3 1 0), 63.76 deg, intensity 3
(3 1 1), 67.27 deg, intensity 34